# KNb5Pb2O15
Theoretical powder diffractogram, Cu Kα X-rays. Input: a DFT-relaxed cell (PBE, Alexandria).

Atomic structure:
a b c (Å): 3.9604 12.8949 13.1995
angles (deg): 90.00 90.00 90.00
Fractional coordinates of all 46 atoms:
K 0.0000 0.0809 0.0000
K 0.0000 0.9191 0.5000
Nb 0.5000 0.0307 0.7439
Nb 0.5000 0.1727 0.4559
Nb 0.5000 0.2456 0.1656
Nb 0.5000 0.3290 0.8833
Nb 0.5000 0.4635 0.5965
Nb 0.5000 0.5365 0.0965
Nb 0.5000 0.6710 0.3833
Nb 0.5000 0.7544 0.6656
Nb 0.5000 0.8273 0.9559
Nb 0.5000 0.9693 0.2439
Pb 0.0000 0.2421 0.6843
Pb 0.0000 0.3833 0.3892
Pb 0.0000 0.6167 0.8892
Pb 0.0000 0.7579 0.1843
O 0.0000 0.0466 0.7291
O 0.0000 0.1842 0.4420
O 0.0000 0.2475 0.1502
O 0.0000 0.3212 0.8522
O 0.0000 0.4484 0.5670
O 0.0000 0.5516 0.0670
O 0.0000 0.6788 0.3522
O 0.0000 0.7525 0.6502
O 0.0000 0.8158 0.9420
O 0.0000 0.9534 0.2291
O 0.5000 0.0362 0.3722
O 0.5000 0.0921 0.1558
O 0.5000 0.1106 0.5829
O 0.5000 0.1809 0.7860
O 0.5000 0.2477 0.9979
O 0.5000 0.2543 0.3079
O 0.5000 0.3229 0.4978
O 0.5000 0.3854 0.7164
O 0.5000 0.4049 0.1525
O 0.5000 0.4639 0.9387
O 0.5000 0.5361 0.4387
O 0.5000 0.5951 0.6525
O 0.5000 0.6146 0.2164
O 0.5000 0.6771 0.9978
O 0.5000 0.7457 0.8079
O 0.5000 0.7523 0.4979
O 0.5000 0.8191 0.2860
O 0.5000 0.8894 0.0829
O 0.5000 0.9079 0.6558
O 0.5000 0.9638 0.8722

Principal peaks in the range 2θ from 15° to 90°, low angle first:
Position (°2θ)  intensity
27.3  73
29.7  53
30.9  75
31.2  100
31.5  79
45.8  49

# PuTiBe17
Theoretical powder diffractogram, Cu Kα X-rays. Input: a DFT-relaxed cell (PBE, Alexandria).

Atomic structure:
a b c (Å): 5.6939 5.6939 5.6939
angles (deg): 82.89 82.89 82.89
Fractional coordinates of all 19 atoms:
Pu 0.0000 0.0000 0.0000
Ti 0.6738 0.6738 0.6738
Be 0.0516 0.3431 0.6252
Be 0.0516 0.6252 0.3431
Be 0.1863 0.6804 0.6804
Be 0.2456 0.2456 0.2456
Be 0.3420 0.3420 0.8391
Be 0.3420 0.8391 0.3420
Be 0.3431 0.0516 0.6252
Be 0.3431 0.6252 0.0516
Be 0.4397 0.4397 0.4397
Be 0.4985 0.9945 0.9945
Be 0.6252 0.0516 0.3431
Be 0.6252 0.3431 0.0516
Be 0.6804 0.1863 0.6804
Be 0.6804 0.6804 0.1863
Be 0.8391 0.3420 0.3420
Be 0.9945 0.4985 0.9945
Be 0.9945 0.9945 0.4985

Principal peaks in the range 2θ from 15° to 90°, low angle first:
Position (°2θ)  intensity
15.8  100
21.1  53
23.6  66
28.5  29
34.1  62
48.6  31

# SnHg5Pb7
Theoretical powder diffractogram, Cu Kα X-rays. Input: a DFT-relaxed cell (PBE, Alexandria).

Atomic structure:
a b c (Å): 10.5855 10.5855 3.7605
angles (deg): 99.55 99.55 87.42
Fractional coordinates of all 13 atoms:
Sn 0.0000 0.0000 0.0000
Hg 0.0210 0.4107 0.2170
Hg 0.0313 0.6433 0.8336
Hg 0.4107 0.0210 0.2170
Hg 0.6433 0.0313 0.8336
Hg 0.8318 0.8318 0.3213
Pb 0.1831 0.1831 0.6831
Pb 0.2108 0.8480 0.5269
Pb 0.3741 0.3741 0.3732
Pb 0.3915 0.6422 0.0090
Pb 0.6422 0.3915 0.0090
Pb 0.6595 0.6595 0.6467
Pb 0.8480 0.2108 0.5269

Principal peaks in the range 2θ from 15° to 90°, low angle first:
Position (°2θ)  intensity
27.1  24
32.0  59
32.2  46
32.5  100
36.2  30
43.3  31